Entry 1:
Calculated X-ray diffraction stick pattern
Compound: Ba3Mn2N4
Radiation: Cu Kα
Structure: a PBE-relaxed structure
Intensities are scaled so that the largest is 1000.

Structural model:
a b c (Å): 6.254 9.924 10.131
angles (deg): 90.00 90.00 90.00
Fractional positions:
Ba  0.120  0.156  0.084
Ba  0.120  0.344  0.416
Ba  0.250  0.000  0.405
Ba  0.250  0.500  0.095
Ba  0.380  0.656  0.416
Ba  0.380  0.844  0.084
Ba  0.620  0.156  0.916
Ba  0.620  0.344  0.584
Ba  0.750  0.000  0.595
Ba  0.750  0.500  0.905
Ba  0.880  0.656  0.584
Ba  0.880  0.844  0.916
Mn  0.173  0.250  0.750
Mn  0.250  0.000  0.737
Mn  0.250  0.500  0.763
Mn  0.327  0.750  0.750
Mn  0.673  0.250  0.250
Mn  0.750  0.000  0.263
Mn  0.750  0.500  0.237
Mn  0.827  0.750  0.250
N  0.038  0.095  0.827
N  0.038  0.405  0.673
N  0.142  0.645  0.858
N  0.142  0.855  0.642
N  0.358  0.145  0.642
N  0.358  0.355  0.858
N  0.462  0.595  0.673
N  0.462  0.905  0.827
N  0.538  0.095  0.173
N  0.538  0.405  0.327
N  0.642  0.645  0.142
N  0.642  0.855  0.358
N  0.858  0.145  0.358
N  0.858  0.355  0.142
N  0.962  0.595  0.327
N  0.962  0.905  0.173

Top 10 peaks for 15° ≤ 2θ ≤ 90°, in order of rising 2θ:
2θ (°)  intensity
28.38  739
28.95  181
29.96  385
30.07  1000
31.26  198
31.43  409
35.06  437
35.45  678
42.61  153
47.49  219

Entry 2:
Calculated X-ray diffraction stick pattern
Compound: BaNd2MnS5
Radiation: Cu Kα
Structure: a PBE-relaxed structure
Intensities are scaled so that the largest is 1000.

Structural model:
a b c (Å): 8.872 8.872 8.872
angles (deg): 126.95 126.95 78.33
Fractional positions:
Ba  0.250  0.250  0.000
Ba  0.750  0.750  0.000
Nd  0.162  0.662  0.824
Nd  0.338  0.162  0.500
Nd  0.662  0.838  0.500
Nd  0.838  0.338  0.176
Mn  0.250  0.750  0.500
Mn  0.750  0.250  0.500
S  0.000  0.000  0.000
S  0.017  0.217  0.500
S  0.217  0.717  0.200
S  0.283  0.483  0.500
S  0.483  0.983  0.200
S  0.500  0.500  0.000
S  0.517  0.017  0.800
S  0.717  0.517  0.500
S  0.783  0.283  0.800
S  0.983  0.783  0.500

Top 10 peaks for 15° ≤ 2θ ≤ 90°, in order of rising 2θ:
2θ (°)  intensity
20.44  144
25.95  1000
31.92  846
35.84  303
41.56  389
45.73  130
47.78  181
51.57  225
58.60  159
66.77  133

Entry 3:
Calculated X-ray diffraction stick pattern
Compound: BaMnSnS4
Radiation: Cu Kα
Structure: a PBE-relaxed structure
Intensities are scaled so that the largest is 1000.

Structural model:
a b c (Å): 12.922 12.677 15.592
angles (deg): 53.19 51.77 75.04
Fractional positions:
Ba  0.000  0.000  0.000
Ba  0.250  0.250  0.250
Ba  0.251  0.748  0.253
Ba  0.499  0.499  0.501
Ba  0.503  0.997  0.502
Ba  0.748  0.251  0.747
Ba  0.749  0.749  0.751
Ba  0.997  0.503  0.999
Mn  0.161  0.763  0.590
Mn  0.234  0.258  0.518
Mn  0.258  0.234  0.990
Mn  0.260  0.732  0.992
Mn  0.660  0.764  0.089
Mn  0.732  0.260  0.016
Mn  0.763  0.161  0.486
Mn  0.764  0.660  0.487
Sn  0.011  0.987  0.737
Sn  0.094  0.483  0.656
Sn  0.483  0.094  0.767
Sn  0.483  0.594  0.767
Sn  0.513  0.986  0.239
Sn  0.594  0.483  0.156
Sn  0.986  0.513  0.263
Sn  0.987  0.011  0.264
S  0.038  0.204  0.049
S  0.040  0.706  0.046
S  0.041  0.704  0.545
S  0.043  0.204  0.544
S  0.201  0.541  0.212
S  0.204  0.038  0.709
S  0.204  0.043  0.210
S  0.204  0.537  0.710
S  0.276  0.463  0.474
S  0.278  0.435  0.969
S  0.281  0.932  0.972
S  0.313  0.967  0.440
S  0.435  0.278  0.318
S  0.463  0.276  0.786
S  0.464  0.776  0.787
S  0.481  0.782  0.271
S  0.537  0.204  0.549
S  0.540  0.701  0.046
S  0.540  0.705  0.546
S  0.541  0.201  0.046
S  0.701  0.540  0.713
S  0.704  0.041  0.710
S  0.705  0.540  0.209
S  0.706  0.040  0.207
S  0.776  0.464  0.974
S  0.782  0.481  0.465
S  0.785  0.979  0.468
S  0.810  0.969  0.937
S  0.932  0.281  0.815
S  0.967  0.313  0.281
S  0.969  0.810  0.283
S  0.979  0.785  0.769

Top 10 peaks for 15° ≤ 2θ ≤ 90°, in order of rising 2θ:
2θ (°)  intensity
15.87  273
17.76  194
22.52  1000
22.82  345
28.17  451
32.06  343
35.97  734
42.69  153
43.19  279
45.66  152

Entry 4:
Calculated X-ray diffraction stick pattern
Compound: BaMn2Sb2
Radiation: Cu Kα
Structure: a PBE-relaxed structure
Intensities are scaled so that the largest is 1000.

Structural model:
a b c (Å): 7.221 7.221 7.221
angles (deg): 143.44 143.44 52.67
Fractional positions:
Ba  0.000  0.000  0.000
Mn  0.250  0.750  0.500
Mn  0.750  0.250  0.500
Sb  0.364  0.364  0.000
Sb  0.636  0.636  0.000

Top 10 peaks for 15° ≤ 2θ ≤ 90°, in order of rising 2θ:
2θ (°)  intensity
27.85  321
28.57  1000
31.15  316
39.59  167
39.80  427
40.12  193
49.72  424
51.04  202
57.54  140
85.24  134

Entry 5:
Calculated X-ray diffraction stick pattern
Compound: Ba3UMnSe6
Radiation: Cu Kα
Structure: a PBE-relaxed structure
Intensities are scaled so that the largest is 1000.

Structural model:
a b c (Å): 8.711 8.711 8.711
angles (deg): 93.25 93.25 93.25
Fractional positions:
Ba  0.134  0.750  0.366
Ba  0.250  0.634  0.866
Ba  0.366  0.134  0.750
Ba  0.634  0.866  0.250
Ba  0.750  0.366  0.134
Ba  0.866  0.250  0.634
U  0.250  0.250  0.250
U  0.750  0.750  0.750
Mn  0.000  0.000  0.000
Mn  0.500  0.500  0.500
Se  0.036  0.910  0.700
Se  0.090  0.300  0.964
Se  0.200  0.410  0.536
Se  0.300  0.964  0.090
Se  0.410  0.536  0.200
Se  0.464  0.800  0.590
Se  0.536  0.200  0.410
Se  0.590  0.464  0.800
Se  0.700  0.036  0.910
Se  0.800  0.590  0.464
Se  0.910  0.700  0.036
Se  0.964  0.090  0.300

Top 10 peaks for 15° ≤ 2θ ≤ 90°, in order of rising 2θ:
2θ (°)  intensity
20.46  264
23.46  265
24.35  466
24.87  355
30.02  1000
33.22  549
34.07  712
37.96  474
44.11  468
60.51  247

Entry 6:
Calculated X-ray diffraction stick pattern
Compound: BaMnSi2
Radiation: Cu Kα
Structure: a PBE-relaxed structure
Intensities are scaled so that the largest is 1000.

Structural model:
a b c (Å): 6.830 4.418 13.237
angles (deg): 90.00 90.00 90.00
Fractional positions:
Ba  0.233  0.250  0.098
Ba  0.267  0.750  0.598
Ba  0.733  0.250  0.402
Ba  0.767  0.750  0.902
Mn  0.222  0.750  0.349
Mn  0.278  0.250  0.849
Mn  0.722  0.750  0.151
Mn  0.778  0.250  0.651
Si  0.028  0.250  0.751
Si  0.225  0.250  0.371
Si  0.275  0.750  0.871
Si  0.472  0.750  0.251
Si  0.528  0.250  0.749
Si  0.725  0.250  0.129
Si  0.775  0.750  0.629
Si  0.972  0.750  0.249

Top 10 peaks for 15° ≤ 2θ ≤ 90°, in order of rising 2θ:
2θ (°)  intensity
24.93  1000
26.09  521
26.94  334
28.59  626
30.00  318
37.86  441
39.09  211
40.86  316
41.93  234
56.91  258

Entry 7:
Calculated X-ray diffraction stick pattern
Compound: BaMn2Sn2
Radiation: Cu Kα
Structure: a PBE-relaxed structure
Intensities are scaled so that the largest is 1000.

Structural model:
a b c (Å): 6.862 6.862 6.862
angles (deg): 139.73 139.73 58.26
Fractional positions:
Ba  0.000  0.000  0.000
Mn  0.250  0.750  0.500
Mn  0.750  0.250  0.500
Sn  0.367  0.367  0.000
Sn  0.633  0.633  0.000

Top 10 peaks for 15° ≤ 2θ ≤ 90°, in order of rising 2θ:
2θ (°)  intensity
26.69  401
29.27  1000
30.64  414
38.10  553
40.43  192
42.27  233
48.76  494
53.43  165
54.98  189
58.20  183

Entry 8:
Calculated X-ray diffraction stick pattern
Compound: Ba3MoN3
Radiation: Cu Kα
Structure: a PBE-relaxed structure
Intensities are scaled so that the largest is 1000.

Structural model:
a b c (Å): 8.502 8.502 5.635
angles (deg): 90.00 90.00 120.00
Fractional positions:
Ba  0.089  0.359  0.250
Ba  0.270  0.911  0.250
Ba  0.359  0.270  0.750
Ba  0.641  0.730  0.250
Ba  0.730  0.089  0.750
Ba  0.911  0.641  0.750
Mo  0.333  0.667  0.750
Mo  0.667  0.333  0.250
N  0.125  0.438  0.750
N  0.313  0.875  0.750
N  0.438  0.313  0.250
N  0.562  0.687  0.750
N  0.687  0.125  0.250
N  0.875  0.562  0.250

Top 10 peaks for 15° ≤ 2θ ≤ 90°, in order of rising 2θ:
2θ (°)  intensity
24.17  206
26.26  865
28.97  1000
31.76  460
32.16  456
36.61  199
44.36  188
45.83  324
55.58  193
56.91  244